Record 1
Pu3InAg3Se8: computed powder diffractogram (Cu Kα X-rays), based on DFT lattice parameters and positions (PBE).
No peak broadening, texture or thermal motion is included.

Cell and atoms:
a = 8.3553 Å, b = 8.3553 Å, c = 19.0661 Å
α = 90.00°, β = 90.00°, γ = 120.00°
Space group R-3m (No. 166, hexagonal axes)
One atom of each set of equivalent atoms:
Pu 0.0000 0.5000 0.0000
In 0.0000 0.0000 0.0000
Ag 0.0000 0.5000 0.5000
Se 0.0000 0.0000 0.2520
Se 0.0093 0.5047 0.7480

Top 10 peaks for 5° ≤ 2θ ≤ 70°, by intensity:
2θ/deg	d (Å)	I (rel.)	index
31.0	2.882	100	0 2 4
43.3	2.089	40	2 2 0
45.6	1.990	34	2 0 8
54.2	1.691	20	4 0 4
13.9	6.355	17	0 0 3
26.3	3.383	12	2 0 2
64.7	1.441	12	0 4 8
25.1	3.555	11	0 2 1
15.4	5.764	8	0 1 2
34.1	2.626	7	2 0 5

Record 2
KPmZn2F8: computed powder diffractogram (Cu Kα X-rays), based on DFT lattice parameters and positions (PBE).
No peak broadening, texture or thermal motion is included.

Cell and atoms:
a = 5.3292 Å, b = 5.3292 Å, c = 24.7300 Å
α = 90.00°, β = 90.00°, γ = 120.00°
Space group R32 (No. 155, hexagonal axes)
One atom of each set of equivalent atoms:
K 0.0000 0.0000 0.0000
Pm 0.0000 0.0000 0.5000
Zn 0.0000 0.0000 0.2594
F 0.0000 0.0000 0.3344
F 0.0027 0.3300 0.2243

Top 10 peaks for 5° ≤ 2θ ≤ 70°, by intensity:
2θ/deg	d (Å)	I (rel.)	index
24.1	3.698	100	1 0 4
33.6	2.665	48	1 1 0
34.9	2.568	35	0 1 8
19.6	4.537	31	1 0 1
56.4	1.630	24	1 1 12
26.4	3.374	22	0 1 5
41.8	2.162	22	0 2 4
54.7	1.679	20	2 1 4
10.7	8.243	19	0 0 3
60.1	1.538	17	3 0 0

Record 3
Nd4Er8Tm3: computed powder diffractogram (Cu Kα X-rays), based on DFT lattice parameters and positions (PBE).
No peak broadening, texture or thermal motion is included.

Cell and atoms:
a = 6.9102 Å, b = 6.9102 Å, c = 35.2722 Å
α = 90.00°, β = 90.00°, γ = 120.00°
Space group R-3m (No. 166, hexagonal axes)
One atom of each set of equivalent atoms:
Nd 0.0000 0.0000 0.0000
Nd 0.0000 0.0000 0.1635
Nd 0.0000 0.0000 0.5000
Er 0.0000 0.0000 0.2558
Er 0.0022 0.5011 0.2515
Tm 0.0000 0.5000 0.0000

Top 10 peaks for 5° ≤ 2θ ≤ 70°, by intensity:
2θ/deg	d (Å)	I (rel.)	index
31.6	2.834	100	0 2 4
36.3	2.476	73	2 0 8
30.4	2.939	54	0 0 12
62.3	1.489	44	2 2 12
53.0	1.728	36	2 2 0
51.5	1.775	27	0 2 16
30.0	2.980	23	0 2 1
7.5	11.757	17	0 0 3
61.0	1.519	17	2 0 20
26.9	3.315	15	1 1 3

Record 4
KNd2Cl8: computed powder diffractogram (Cu Kα X-rays), based on DFT lattice parameters and positions (PBE).
No peak broadening, texture or thermal motion is included.

Cell and atoms:
a = 8.689 Å, b = 13.784 Å, c = 5.346 Å
α = 90.00°, β = 90.00°, γ = 90.00°
Space group Cmmm (No. 65)
One atom of each set of equivalent atoms:
K 0.000 0.000 0.000
Nd 0.000 0.302 0.500
Cl 0.000 0.255 0.000
Cl 0.000 0.500 0.246
Cl 0.193 0.134 0.500

Top 10 peaks for 5° ≤ 2θ ≤ 70°, by intensity:
2θ/deg	d (Å)	I (rel.)	index
20.5	4.340	100	2 0 0
16.6	5.346	97	0 0 1
12.8	6.892	67	0 2 0
38.2	2.358	54	1 5 1
50.5	1.806	50	3 3 2
21.0	4.224	49	0 2 1
33.2	2.700	45	2 4 0
40.4	2.233	40	1 3 2
34.1	2.628	40	1 5 0
33.5	2.673	37	0 0 2

Record 5
BaReH9: computed powder diffractogram (Cu Kα X-rays), based on DFT lattice parameters and positions (PBE).
No peak broadening, texture or thermal motion is included.

Cell and atoms:
a = 5.1494 Å, b = 5.1494 Å, c = 9.5941 Å
α = 90.00°, β = 90.00°, γ = 120.00°
Space group P6_3/mmc (No. 194)
One atom of each set of equivalent atoms:
Ba 0.0000 0.0000 0.0000
Re 0.3333 0.6667 0.2500
H 0.0607 0.5304 0.1244
H 0.1457 0.2914 0.2500

Top 10 peaks for 5° ≤ 2θ ≤ 70°, by intensity:
2θ/deg	d (Å)	I (rel.)	index
27.3	3.266	100	1 0 2
22.0	4.044	90	1 0 1
34.8	2.575	52	1 1 0
52.1	1.755	34	1 1 4
34.5	2.599	28	1 0 3
44.8	2.022	27	2 0 2
58.0	1.590	25	2 1 2
41.6	2.172	16	2 0 1
55.3	1.660	15	2 1 1
37.5	2.399	14	0 0 4

Record 6
Tm4Al24Pd9: computed powder diffractogram (Cu Kα X-rays), based on DFT lattice parameters and positions (PBE).
No peak broadening, texture or thermal motion is included.

Cell and atoms:
a = 7.524 Å, b = 7.529 Å, c = 13.157 Å
α = 79.10°, β = 84.51°, γ = 60.08°
Space group P-1 (No. 2)
One atom of each set of equivalent atoms:
Tm 0.001 0.232 0.309
Tm 0.332 0.562 0.309
Al 0.000 0.314 0.059
Al 0.001 0.852 0.444
Al 0.006 0.057 0.828
Al 0.129 0.310 0.685
Al 0.332 0.183 0.453
Al 0.333 0.021 0.939
Al 0.333 0.646 0.059
Al 0.334 0.384 0.828
Al 0.334 0.482 0.556
Al 0.336 0.897 0.683
Al 0.340 0.269 0.171
Al 0.457 0.897 0.316
Pd 0.000 0.500 0.500
Pd 0.008 0.612 0.139
Pd 0.325 0.954 0.138
Pd 0.328 0.828 0.500
Pd 0.333 0.705 0.861

Top 10 peaks for 5° ≤ 2θ ≤ 70°, by intensity:
2θ/deg	d (Å)	I (rel.)	index
41.5	2.174	100	3 0 0
28.7	3.113	69	1 2 3
30.1	2.973	54	2 1 3
38.5	2.337	42	2 1 -4
34.9	2.573	40	2 1 4
23.7	3.747	37	1 2 1
34.7	2.584	20	0 0 5
55.3	1.662	19	0 3 6
13.7	6.440	18	1 1 0
44.5	2.037	15	1 2 6

Record 7
ErCdI6: computed powder diffractogram (Cu Kα X-rays), based on DFT lattice parameters and positions (PBE).
No peak broadening, texture or thermal motion is included.

Cell and atoms:
a = 7.497 Å, b = 7.501 Å, c = 7.897 Å
α = 90.06°, β = 118.05°, γ = 119.97°
Space group P-1 (No. 2)
One atom of each set of equivalent atoms:
Er 0.000 0.000 0.000
Cd 0.000 0.500 0.500
I 0.173 0.248 0.750
I 0.174 0.423 0.248
I 0.497 0.075 0.249

Top 10 peaks for 5° ≤ 2θ ≤ 70°, by intensity:
2θ/deg	d (Å)	I (rel.)	index
27.3	3.267	100	-1 2 1
41.7	2.165	59	3 0 -2
27.4	3.257	49	1 1 -2
16.3	5.438	40	1 0 0
36.2	2.479	36	1 1 -3
36.1	2.488	36	2 -1 1
47.7	1.907	17	1 -2 3
22.5	3.954	17	0 1 1
50.5	1.806	16	2 2 -1
28.9	3.087	15	2 0 -2

Record 8
HS2: computed powder diffractogram (Cu Kα X-rays), based on DFT lattice parameters and positions (PBE).
No peak broadening, texture or thermal motion is included.

Cell and atoms:
a = 9.667 Å, b = 4.002 Å, c = 7.098 Å
α = 90.00°, β = 117.56°, γ = 90.00°
Space group C2/c (No. 15)
One atom of each set of equivalent atoms:
H 0.000 0.223 0.250
S 0.067 0.197 0.074

Top 10 peaks for 5° ≤ 2θ ≤ 70°, by intensity:
2θ/deg	d (Å)	I (rel.)	index
26.3	3.393	100	2 0 -2
20.7	4.285	99	2 0 0
30.8	2.905	76	1 1 1
35.8	2.510	36	3 1 -1
46.5	1.955	33	3 1 1
28.4	3.147	28	0 0 2
24.5	3.626	23	1 1 0
45.5	1.993	23	1 1 -3
53.6	1.709	20	5 1 -1
54.7	1.679	18	1 1 3

Record 9
PmHoSBr: computed powder diffractogram (Cu Kα X-rays), based on DFT lattice parameters and positions (PBE).
No peak broadening, texture or thermal motion is included.

Cell and atoms:
a = 3.846 Å, b = 3.858 Å, c = 7.971 Å
α = 90.01°, β = 103.89°, γ = 119.84°
Space group P1 (No. 1)
One atom of each set of equivalent atoms:
Pm 0.000 0.000 0.000
Ho 0.397 0.196 0.597
S 0.191 0.594 0.787
Br 0.546 0.772 0.319

Top 10 peaks for 5° ≤ 2θ ≤ 70°, by intensity:
2θ/deg	d (Å)	I (rel.)	index
33.2	2.701	100	1 0 1
31.0	2.883	32	1 -1 1
47.1	1.930	27	1 1 -1
27.0	3.299	25	1 0 -1
48.1	1.891	17	1 0 -4
30.9	2.895	16	0 1 1
35.1	2.553	15	0 0 3
47.3	1.923	14	-2 1 1
27.8	3.206	13	-1 1 1
26.9	3.313	13	0 1 0

Record 10
NpAsO6: computed powder diffractogram (Cu Kα X-rays), based on DFT lattice parameters and positions (PBE).
No peak broadening, texture or thermal motion is included.

Cell and atoms:
a = 5.2661 Å, b = 5.2661 Å, c = 13.3890 Å
α = 90.00°, β = 90.00°, γ = 120.00°
Space group R-3 (No. 148, hexagonal axes)
One atom of each set of equivalent atoms:
Np 0.0000 0.0000 0.0000
As 0.0000 0.0000 0.5000
O 0.0156 0.5916 0.2463

Top 10 peaks for 5° ≤ 2θ ≤ 70°, by intensity:
2θ/deg	d (Å)	I (rel.)	index
23.6	3.769	100	0 1 2
33.2	2.698	30	1 0 4
34.0	2.633	25	1 1 0
20.6	4.317	25	1 0 1
53.9	1.702	23	1 1 6
55.0	1.669	18	1 2 2
48.3	1.885	18	0 2 4
39.7	2.268	13	2 -1 3
60.4	1.532	12	2 1 4
41.9	2.159	12	2 0 2